For CsGeBiS4, DFT lattice parameters and positions (GGA-PBE) gives the computed XRD peak list in this record (a wavelength of 1.5418 Å).
No peak broadening, texture or thermal motion is included.

Peak list (12 most intense, 15° ≤ 2θ ≤ 90°, low angle first)
hkl 1 1 0, 4.698 Å, I = 100; hkl 0 0 2, 4.532 Å, I = 30; hkl 0 1 2, 3.796 Å, I = 45; hkl 1 1 -2, 3.719 Å, I = 74; hkl 0 2 0, 3.473 Å, I = 80; hkl 2 0 0, 3.188 Å, I = 30; hkl 2 0 -2, 3.106 Å, I = 42; hkl 1 1 2, 2.940 Å, I = 84; hkl 2 1 -2, 2.835 Å, I = 51; hkl 0 2 2, 2.757 Å, I = 48; hkl 2 2 0, 2.349 Å, I = 58; hkl 1 1 3, 2.312 Å, I = 36

Crystal structure
```
data_CsGeBiS4
_chemical_formula_sum 'Cs2 Ge2 Bi2 S8'
_symmetry_space_group_name_H-M 'P 1'
_symmetry_Int_Tables_number 1
_symmetry_space_group_name_Hall 'P 1'
_cell_length_a 6.7149
_cell_length_b 6.9469
_cell_length_c 9.5446
_cell_angle_alpha 90.00
_cell_angle_beta 108.26
_cell_angle_gamma 90.00
loop_
_atom_site_label
_atom_site_type_symbol
_atom_site_fract_x
_atom_site_fract_y
_atom_site_fract_z
_atom_site_occupancy
Cs1 Cs 0.2284 0.2500 0.4393 1
Cs2 Cs 0.7716 0.7500 0.5607 1
Ge1 Ge 0.2711 0.7500 0.1625 1
Ge2 Ge 0.7289 0.2500 0.8375 1
Bi1 Bi 0.2740 0.2500 0.9645 1
Bi2 Bi 0.7260 0.7500 0.0355 1
S1 S 0.0609 0.7500 0.9299 1
S2 S 0.0746 0.7500 0.3091 1
S3 S 0.4939 0.0001 0.1985 1
S4 S 0.4939 0.4999 0.1985 1
S5 S 0.5061 0.9999 0.8015 1
S6 S 0.5061 0.5001 0.8015 1
S7 S 0.9254 0.2500 0.6909 1
S8 S 0.9391 0.2500 0.0701 1
```